No. 1
Structure and simulated XRD peak list of AlTl2AsS4 (a PBE-relaxed structure; Cu Kα X-rays).
Kinematic intensities with the Lorentz-polarization factor, no thermal factor.

Structural model:
```
data_AlTl2AsS4
_chemical_formula_sum 'Al8 Tl16 As8 S32'
_cell_length_a 6.1052
_cell_length_b 13.3483
_cell_length_c 22.3011
_cell_angle_alpha 90.00
_cell_angle_beta 90.00
_cell_angle_gamma 90.00
_symmetry_space_group_name_H-M 'F d d d'
_symmetry_Int_Tables_number 70
loop_
_symmetry_equiv_pos_as_xyz
'x,y,z'
'-x,-y,-z'
'-x+1/4,-y+1/4,z'
'x+1/4,y+1/4,-z'
'x,-y+1/4,-z+1/4'
'-x,y+1/4,z+1/4'
'-x+1/4,y,-z+1/4'
'x+1/4,-y,z+1/4'
'x,y+1/2,z+1/2'
'-x,-y+1/2,-z+1/2'
'-x+1/4,-y+3/4,z+1/2'
'x+1/4,y+3/4,-z+1/2'
'x,-y+3/4,-z+3/4'
'-x,y+3/4,z+3/4'
'-x+1/4,y+1/2,-z+3/4'
'x+1/4,-y+1/2,z+3/4'
'x+1/2,y,z+1/2'
'-x+1/2,-y,-z+1/2'
'-x+3/4,-y+1/4,z+1/2'
'x+3/4,y+1/4,-z+1/2'
'x+1/2,-y+1/4,-z+3/4'
'-x+1/2,y+1/4,z+3/4'
'-x+3/4,y,-z+3/4'
'x+3/4,-y,z+3/4'
'x+1/2,y+1/2,z'
'-x+1/2,-y+1/2,-z'
'-x+3/4,-y+3/4,z'
'x+3/4,y+3/4,-z'
'x+1/2,-y+3/4,-z+1/4'
'-x+1/2,y+3/4,z+1/4'
'-x+3/4,y+1/2,-z+1/4'
'x+3/4,-y+1/2,z+1/4'
loop_
_atom_site_label
_atom_site_type_symbol
_atom_site_fract_x
_atom_site_fract_y
_atom_site_fract_z
_atom_site_occupancy
Al1 Al 0.1250 0.1250 0.1250 1
Tl1 Tl 0.1250 0.1250 0.3052 1
As1 As 0.1250 0.1250 0.6250 1
S1 S 0.0986 0.2759 0.4298 1
```

Peak list (10 most intense, 5 to 70 degrees two-theta, in order of rising 2θ)
hkl 1 1 3, 20.0 deg, rel. 55.1
hkl 0 4 0, 26.7 deg, rel. 17.0
hkl 0 2 6, 27.5 deg, rel. 100.0
hkl 1 3 5, 32.0 deg, rel. 22.2
hkl 2 2 0, 32.2 deg, rel. 29.1
hkl 2 0 6, 38.1 deg, rel. 22.6
hkl 1 5 3, 38.8 deg, rel. 16.4
hkl 2 4 6, 47.2 deg, rel. 15.8
hkl 0 6 6, 47.6 deg, rel. 11.6
hkl 2 6 0, 50.8 deg, rel. 18.4



No. 2
Structure and simulated XRD peak list of MgPa2VN5 (a PBE-relaxed structure; Cu Kα X-rays).
Kinematic intensities with the Lorentz-polarization factor, no thermal factor.

Structural model:
```
data_MgPa2VN5
_chemical_formula_sum 'Mg4 Pa8 V4 N20'
_cell_length_a 3.3747
_cell_length_b 13.7135
_cell_length_c 9.3560
_cell_angle_alpha 90.00
_cell_angle_beta 90.00
_cell_angle_gamma 90.00
_symmetry_space_group_name_H-M 'C m c 21'
_symmetry_Int_Tables_number 36
loop_
_symmetry_equiv_pos_as_xyz
'x,y,z'
'-x,-y,z+1/2'
'-x,y,z'
'x,-y,z+1/2'
'x+1/2,y+1/2,z'
'-x+1/2,-y+1/2,z+1/2'
'-x+1/2,y+1/2,z'
'x+1/2,-y+1/2,z+1/2'
loop_
_atom_site_label
_atom_site_type_symbol
_atom_site_fract_x
_atom_site_fract_y
_atom_site_fract_z
_atom_site_occupancy
Mg1 Mg 0.0000 0.0173 0.0000 1
Pa1 Pa 0.0000 0.3692 0.2163 1
Pa2 Pa 0.0000 0.3689 0.7895 1
V1 V 0.0000 0.2852 0.5047 1
N1 N 0.0000 0.0014 0.7698 1
N2 N 0.0000 0.1382 0.5124 1
N3 N 0.0000 0.2075 0.8648 1
N4 N 0.0000 0.2145 0.1616 1
N5 N 0.0000 0.4162 0.5418 1
```

Peak list (10 most intense, 5 to 70 degrees two-theta, in order of rising 2θ)
hkl 0 0 2, 19.0 deg, rel. 100.0
hkl 0 4 0, 26.0 deg, rel. 67.4
hkl 1 1 0, 27.2 deg, rel. 62.4
hkl 0 2 3, 31.5 deg, rel. 50.9
hkl 0 4 2, 32.4 deg, rel. 94.0
hkl 1 3 0, 33.0 deg, rel. 78.9
hkl 1 1 2, 33.4 deg, rel. 74.1
hkl 1 3 2, 38.3 deg, rel. 54.2
hkl 1 1 3, 39.9 deg, rel. 53.3
hkl 1 7 2, 57.9 deg, rel. 39.2



What did the second record say?
Structure and simulated XRD peak list of MgPa2VN5 (a PBE-relaxed structure; Cu Kα X-rays).
Kinematic intensities with the Lorentz-polarization factor, no thermal factor.

Structural model:
```
data_MgPa2VN5
_chemical_formula_sum 'Mg4 Pa8 V4 N20'
_cell_length_a 3.3747
_cell_length_b 13.7135
_cell_length_c 9.3560
_cell_angle_alpha 90.00
_cell_angle_beta 90.00
_cell_angle_gamma 90.00
_symmetry_space_group_name_H-M 'C m c 21'
_symmetry_Int_Tables_number 36
loop_
_symmetry_equiv_pos_as_xyz
'x,y,z'
'-x,-y,z+1/2'
'-x,y,z'
'x,-y,z+1/2'
'x+1/2,y+1/2,z'
'-x+1/2,-y+1/2,z+1/2'
'-x+1/2,y+1/2,z'
'x+1/2,-y+1/2,z+1/2'
loop_
_atom_site_label
_atom_site_type_symbol
_atom_site_fract_x
_atom_site_fract_y
_atom_site_fract_z
_atom_site_occupancy
Mg1 Mg 0.0000 0.0173 0.0000 1
Pa1 Pa 0.0000 0.3692 0.2163 1
Pa2 Pa 0.0000 0.3689 0.7895 1
V1 V 0.0000 0.2852 0.5047 1
N1 N 0.0000 0.0014 0.7698 1
N2 N 0.0000 0.1382 0.5124 1
N3 N 0.0000 0.2075 0.8648 1
N4 N 0.0000 0.2145 0.1616 1
N5 N 0.0000 0.4162 0.5418 1
```

Peak list (10 most intense, 5 to 70 degrees two-theta, in order of rising 2θ)
hkl 0 0 2, 19.0 deg, rel. 100.0
hkl 0 4 0, 26.0 deg, rel. 67.4
hkl 1 1 0, 27.2 deg, rel. 62.4
hkl 0 2 3, 31.5 deg, rel. 50.9
hkl 0 4 2, 32.4 deg, rel. 94.0
hkl 1 3 0, 33.0 deg, rel. 78.9
hkl 1 1 2, 33.4 deg, rel. 74.1
hkl 1 3 2, 38.3 deg, rel. 54.2
hkl 1 1 3, 39.9 deg, rel. 53.3
hkl 1 7 2, 57.9 deg, rel. 39.2



Copy entry 1 word for word.
Structure and simulated XRD peak list of AlTl2AsS4 (a PBE-relaxed structure; Cu Kα X-rays).
Kinematic intensities with the Lorentz-polarization factor, no thermal factor.

Structural model:
```
data_AlTl2AsS4
_chemical_formula_sum 'Al8 Tl16 As8 S32'
_cell_length_a 6.1052
_cell_length_b 13.3483
_cell_length_c 22.3011
_cell_angle_alpha 90.00
_cell_angle_beta 90.00
_cell_angle_gamma 90.00
_symmetry_space_group_name_H-M 'F d d d'
_symmetry_Int_Tables_number 70
loop_
_symmetry_equiv_pos_as_xyz
'x,y,z'
'-x,-y,-z'
'-x+1/4,-y+1/4,z'
'x+1/4,y+1/4,-z'
'x,-y+1/4,-z+1/4'
'-x,y+1/4,z+1/4'
'-x+1/4,y,-z+1/4'
'x+1/4,-y,z+1/4'
'x,y+1/2,z+1/2'
'-x,-y+1/2,-z+1/2'
'-x+1/4,-y+3/4,z+1/2'
'x+1/4,y+3/4,-z+1/2'
'x,-y+3/4,-z+3/4'
'-x,y+3/4,z+3/4'
'-x+1/4,y+1/2,-z+3/4'
'x+1/4,-y+1/2,z+3/4'
'x+1/2,y,z+1/2'
'-x+1/2,-y,-z+1/2'
'-x+3/4,-y+1/4,z+1/2'
'x+3/4,y+1/4,-z+1/2'
'x+1/2,-y+1/4,-z+3/4'
'-x+1/2,y+1/4,z+3/4'
'-x+3/4,y,-z+3/4'
'x+3/4,-y,z+3/4'
'x+1/2,y+1/2,z'
'-x+1/2,-y+1/2,-z'
'-x+3/4,-y+3/4,z'
'x+3/4,y+3/4,-z'
'x+1/2,-y+3/4,-z+1/4'
'-x+1/2,y+3/4,z+1/4'
'-x+3/4,y+1/2,-z+1/4'
'x+3/4,-y+1/2,z+1/4'
loop_
_atom_site_label
_atom_site_type_symbol
_atom_site_fract_x
_atom_site_fract_y
_atom_site_fract_z
_atom_site_occupancy
Al1 Al 0.1250 0.1250 0.1250 1
Tl1 Tl 0.1250 0.1250 0.3052 1
As1 As 0.1250 0.1250 0.6250 1
S1 S 0.0986 0.2759 0.4298 1
```

Peak list (10 most intense, 5 to 70 degrees two-theta, in order of rising 2θ)
hkl 1 1 3, 20.0 deg, rel. 55.1
hkl 0 4 0, 26.7 deg, rel. 17.0
hkl 0 2 6, 27.5 deg, rel. 100.0
hkl 1 3 5, 32.0 deg, rel. 22.2
hkl 2 2 0, 32.2 deg, rel. 29.1
hkl 2 0 6, 38.1 deg, rel. 22.6
hkl 1 5 3, 38.8 deg, rel. 16.4
hkl 2 4 6, 47.2 deg, rel. 15.8
hkl 0 6 6, 47.6 deg, rel. 11.6
hkl 2 6 0, 50.8 deg, rel. 18.4